Entry 1:
Diffraction record for La3Pr2TmSe6. The PXRD pattern is theoretical, not measured: it uses the GGA-PBE geometry in Alexandria and Cu Kα (weighted mean of Kα1 and Kα2).
Kinematic intensities with the Lorentz-polarization factor, no thermal factor.

Principal peaks in the range 2θ = 10–90°, most intense first:
- 29.74 deg, d 3.004, rel. 1000
- 42.53 deg, d 2.126, rel. 371
- 42.60 deg, d 2.122, rel. 370
- 70.05 deg, d 1.343, rel. 218
- 52.72 deg, d 1.736, rel. 130
- 52.86 deg, d 1.732, rel. 130
- 61.77 deg, d 1.502, rel. 120
- 77.81 deg, d 1.228, rel. 119
- 77.98 deg, d 1.225, rel. 80
- 25.72 deg, d 3.464, rel. 80

Cell and atoms:
Lattice parameters (Å, degrees): 7.3679 7.3679 7.3494 99.62 99.62 120.12
Fractional coordinates of all 12 atoms:
1 La 0.0000 0.0000 0.0000
2 La 0.3272 0.6728 0.0000
3 La 0.6728 0.3272 0.0000
4 Pr 0.1668 0.8332 0.5000
5 Pr 0.8332 0.1668 0.5000
6 Tm 0.5000 0.5000 0.5000
7 Se 0.1014 0.4209 0.2619
8 Se 0.2621 0.2621 0.7439
9 Se 0.4209 0.1014 0.2619
10 Se 0.5791 0.8986 0.7381
11 Se 0.7379 0.7379 0.2561
12 Se 0.8986 0.5791 0.7381

Entry 2:
Diffraction record for Bi4Pb6O19. The PXRD pattern is theoretical, not measured: it uses the GGA-PBE geometry in Alexandria and Cu Kα (weighted mean of Kα1 and Kα2).
Kinematic intensities with the Lorentz-polarization factor, no thermal factor.

Principal peaks in the range 2θ = 10–90°, most intense first:
- 29.00 deg, d 3.079, rel. 1000
- 34.47 deg, d 2.602, rel. 625
- 22.37 deg, d 3.974, rel. 565
- 47.63 deg, d 1.909, rel. 438
- 56.74 deg, d 1.623, rel. 255
- 31.84 deg, d 2.810, rel. 248
- 51.41 deg, d 1.777, rel. 218
- 45.65 deg, d 1.987, rel. 216
- 64.97 deg, d 1.435, rel. 193
- 58.44 deg, d 1.579, rel. 183

Cell and atoms:
Lattice parameters (Å, degrees): 8.4310 8.4310 8.4310 109.47 109.47 109.47
Fractional coordinates of all 29 atoms:
1 Bi 0.0000 0.0000 0.7019
2 Bi 0.0000 0.7019 0.0000
3 Bi 0.2981 0.2981 0.2981
4 Bi 0.7019 0.0000 0.0000
5 Pb 0.1705 0.6705 0.5000
6 Pb 0.3295 0.5000 0.8295
7 Pb 0.5000 0.1705 0.6705
8 Pb 0.5000 0.8295 0.3295
9 Pb 0.6705 0.5000 0.1705
10 Pb 0.8295 0.3295 0.5000
11 O 0.0000 0.0000 0.0000
12 O 0.0000 0.3505 0.3505
13 O 0.0000 0.6495 0.6495
14 O 0.0317 0.2533 0.6600
15 O 0.2216 0.9683 0.6283
16 O 0.2533 0.6600 0.0317
17 O 0.3400 0.5933 0.3717
18 O 0.3505 0.0000 0.3505
19 O 0.3505 0.3505 0.0000
20 O 0.3717 0.3400 0.5933
21 O 0.4067 0.7467 0.7784
22 O 0.5933 0.3717 0.3400
23 O 0.6283 0.2216 0.9683
24 O 0.6495 0.0000 0.6495
25 O 0.6495 0.6495 0.0000
26 O 0.6600 0.0317 0.2533
27 O 0.7467 0.7784 0.4067
28 O 0.7784 0.4067 0.7467
29 O 0.9683 0.6283 0.2216

Entry 3:
Diffraction record for Ce6GaGe5. The PXRD pattern is theoretical, not measured: it uses the GGA-PBE geometry in Alexandria and Cu Kα (weighted mean of Kα1 and Kα2).
Kinematic intensities with the Lorentz-polarization factor, no thermal factor.

Principal peaks in the range 2θ = 10–90°, most intense first:
- 29.77 deg, d 3.001, rel. 1000
- 42.60 deg, d 2.122, rel. 748
- 70.08 deg, d 1.343, rel. 222
- 52.81 deg, d 1.733, rel. 197
- 78.02 deg, d 1.225, rel. 144
- 25.72 deg, d 3.464, rel. 129
- 61.82 deg, d 1.501, rel. 122
- 70.16 deg, d 1.341, rel. 111
- 77.92 deg, d 1.226, rel. 102
- 50.42 deg, d 1.810, rel. 82

Cell and atoms:
Lattice parameters (Å, degrees): 7.3531 7.3531 7.3437 99.60 99.60 119.94
Fractional coordinates of all 12 atoms:
1 Ce 0.0757 0.4154 0.7467
2 Ce 0.2444 0.2444 0.2523
3 Ce 0.4154 0.0757 0.7467
4 Ce 0.5846 0.9243 0.2533
5 Ce 0.7556 0.7556 0.7477
6 Ce 0.9243 0.5846 0.2533
7 Ga 0.5000 0.5000 0.0000
8 Ge 0.0000 0.0000 0.5000
9 Ge 0.1672 0.8328 0.0000
10 Ge 0.3359 0.6641 0.5000
11 Ge 0.6641 0.3359 0.5000
12 Ge 0.8328 0.1672 0.0000

Entry 4:
Diffraction record for Cs2Rb2Na15. The PXRD pattern is theoretical, not measured: it uses the GGA-PBE geometry in Alexandria and Cu Kα (weighted mean of Kα1 and Kα2).
Kinematic intensities with the Lorentz-polarization factor, no thermal factor.

Principal peaks in the range 2θ = 10–90°, most intense first:
- 13.65 deg, d 6.486, rel. 1000
- 23.76 deg, d 3.745, rel. 850
- 27.50 deg, d 3.243, rel. 817
- 27.75 deg, d 3.214, rel. 694
- 28.33 deg, d 3.150, rel. 606
- 20.49 deg, d 4.335, rel. 552
- 24.70 deg, d 3.604, rel. 552
- 19.70 deg, d 4.506, rel. 330
- 48.62 deg, d 1.873, rel. 307
- 28.53 deg, d 3.129, rel. 280

Cell and atoms:
Lattice parameters (Å, degrees): 9.7643 9.7643 9.7643 83.25 83.25 83.25
Fractional coordinates of all 19 atoms:
1 Cs 0.1502 0.1502 0.1502
2 Cs 0.8498 0.8498 0.8498
3 Rb 0.3939 0.3939 0.3939
4 Rb 0.6061 0.6061 0.6061
5 Na 0.0000 0.5000 0.5000
6 Na 0.1508 0.1508 0.6644
7 Na 0.1508 0.6644 0.1508
8 Na 0.1909 0.5000 0.8091
9 Na 0.1909 0.8091 0.5000
10 Na 0.3356 0.8492 0.8492
11 Na 0.5000 0.0000 0.5000
12 Na 0.5000 0.1909 0.8091
13 Na 0.5000 0.5000 0.0000
14 Na 0.5000 0.8091 0.1909
15 Na 0.6644 0.1508 0.1508
16 Na 0.8091 0.1909 0.5000
17 Na 0.8091 0.5000 0.1909
18 Na 0.8492 0.3356 0.8492
19 Na 0.8492 0.8492 0.3356

Entry 5:
Diffraction record for PbClF3. The PXRD pattern is theoretical, not measured: it uses the GGA-PBE geometry in Alexandria and Cu Kα (weighted mean of Kα1 and Kα2).
Kinematic intensities with the Lorentz-polarization factor, no thermal factor.

Principal peaks in the range 2θ = 10–90°, most intense first:
- 21.39 deg, d 4.154, rel. 1000
- 19.09 deg, d 4.648, rel. 527
- 35.39 deg, d 2.537, rel. 437
- 13.36 deg, d 6.626, rel. 398
- 25.10 deg, d 3.548, rel. 347
- 26.50 deg, d 3.363, rel. 330
- 28.03 deg, d 3.183, rel. 303
- 40.85 deg, d 2.209, rel. 295
- 28.13 deg, d 3.172, rel. 270
- 29.02 deg, d 3.077, rel. 253

Cell and atoms:
Lattice parameters (Å, degrees): 8.3595 5.3274 12.0032 90.00 127.56 90.00
Fractional coordinates of all 20 atoms:
1 Pb 0.1614 0.1217 0.4229
2 Pb 0.1614 0.3783 0.9229
3 Pb 0.8386 0.6217 0.0771
4 Pb 0.8386 0.8783 0.5771
5 Cl 0.4082 0.1215 0.8082
6 Cl 0.4082 0.3785 0.3082
7 Cl 0.5918 0.6215 0.6918
8 Cl 0.5918 0.8785 0.1918
9 F 0.0795 0.6091 0.7345
10 F 0.0795 0.8909 0.2345
11 F 0.1259 0.1008 0.6287
12 F 0.1259 0.3992 0.1287
13 F 0.3358 0.6411 0.5330
14 F 0.3358 0.8589 0.0330
15 F 0.6642 0.1411 0.9670
16 F 0.6642 0.3589 0.4670
17 F 0.8741 0.6008 0.8713
18 F 0.8741 0.8992 0.3713
19 F 0.9205 0.1091 0.7655
20 F 0.9205 0.3909 0.2655